Record 1
Calculated PXRD pattern of B7C5 for Cu Kα (λ = 1.5418 Å), from a crystal structure in Alexandria, relaxed with PBE.

Largest 10 diffraction maxima, in order of rising 2θ, 15° ≤ 2θ ≤ 90°:
2theta	d_spacing	I/Imax
23.34	3.811	25.3
28.47	3.135	32.0
31.26	2.861	34.2
39.10	2.304	100.0
40.56	2.224	76.3
41.80	2.161	70.3
42.09	2.147	84.2
68.00	1.379	20.7
69.11	1.359	26.7
70.66	1.333	18.5

```
data_B7C5
_symmetry_space_group_name_H-M 'P 1'
_symmetry_Int_Tables_number 1
_cell_length_a 3.7168
_cell_length_b 4.5660
_cell_length_c 5.5691
_cell_angle_alpha 104.05
_cell_angle_beta 94.15
_cell_angle_gamma 111.12
loop_
_symmetry_equiv_pos_as_xyz
'x,y,z'
loop_
_atom_site_label
_atom_site_type_symbol
_atom_site_fract_x
_atom_site_fract_y
_atom_site_fract_z
B1 B 0.0000 0.0000 0.0000
B2 B 0.0110 0.3531 0.5453
B3 B 0.3595 0.9959 0.2457
B4 B 0.3891 0.0194 0.6233
B5 B 0.4006 0.6153 0.0772
B6 B 0.6372 0.7321 0.3776
B7 B 0.6715 0.3535 0.1947
C1 C 0.0551 0.0220 0.4264
C2 C 0.4093 0.6857 0.6174
C3 C 0.6515 0.6600 0.8424
C4 C 0.7400 0.3519 0.7681
C5 C 0.9644 0.3308 0.0017
```


Record 2
Calculated PXRD pattern of Cs7Fe4S8 for Cu Kα (λ = 1.5418 Å), from a crystal structure in Alexandria, relaxed with PBE.

Largest 10 diffraction maxima, in order of rising 2θ, 15° ≤ 2θ ≤ 90°:
2theta	d_spacing	I/Imax
20.49	4.334	29.8
20.85	4.260	52.1
29.18	3.060	23.6
29.40	3.038	100.0
30.13	2.966	19.9
35.92	2.500	13.1
36.71	2.448	12.9
47.05	1.931	13.7
51.87	1.763	13.6
61.00	1.519	13.7

```
data_Cs7Fe4S8
_symmetry_space_group_name_H-M 'P 1'
_symmetry_Int_Tables_number 1
_cell_length_a 10.5759
_cell_length_b 10.5759
_cell_length_c 17.0534
_cell_angle_alpha 115.36
_cell_angle_beta 115.36
_cell_angle_gamma 48.38
loop_
_symmetry_equiv_pos_as_xyz
'x,y,z'
loop_
_atom_site_label
_atom_site_type_symbol
_atom_site_fract_x
_atom_site_fract_y
_atom_site_fract_z
Cs1 Cs 0.9999 0.4746 0.1100
Cs2 Cs 0.0001 0.5254 0.8900
Cs3 Cs 0.0084 0.5104 0.6386
Cs4 Cs 0.2306 0.7694 0.7500
Cs5 Cs 0.2447 0.7453 0.5107
Cs6 Cs 0.2547 0.7553 0.9893
Cs7 Cs 0.4746 0.9999 0.6100
Cs8 Cs 0.4896 0.9916 0.8614
Cs9 Cs 0.5104 0.0084 0.1386
Cs10 Cs 0.5254 0.0001 0.3900
Cs11 Cs 0.7453 0.2447 0.0107
Cs12 Cs 0.7553 0.2547 0.4893
Cs13 Cs 0.7694 0.2306 0.2500
Cs14 Cs 0.9916 0.4896 0.3614
Fe1 Fe 0.0966 0.7873 0.2781
Fe2 Fe 0.2127 0.9034 0.2219
Fe3 Fe 0.3225 0.5591 0.1613
Fe4 Fe 0.4409 0.6775 0.3387
Fe5 Fe 0.5591 0.3225 0.6613
Fe6 Fe 0.6775 0.4409 0.8387
Fe7 Fe 0.7873 0.0966 0.7781
Fe8 Fe 0.9034 0.2127 0.7219
S1 S 0.0348 0.8062 0.1303
S2 S 0.1272 0.1366 0.6836
S3 S 0.1366 0.1272 0.1836
S4 S 0.1938 0.9652 0.3697
S5 S 0.3306 0.3910 0.5478
S6 S 0.3456 0.5004 0.2895
S7 S 0.3910 0.3306 0.0478
S8 S 0.5004 0.3456 0.7895
S9 S 0.4996 0.6544 0.2105
S10 S 0.6090 0.6694 0.9522
S11 S 0.6544 0.4996 0.7105
S12 S 0.6694 0.6090 0.4522
S13 S 0.8062 0.0348 0.6303
S14 S 0.8634 0.8728 0.8164
S15 S 0.8728 0.8634 0.3164
S16 S 0.9652 0.1938 0.8697
```


Record 3
Calculated PXRD pattern of TbCoH6 for Cu Kα (λ = 1.5418 Å), from a crystal structure in Alexandria, relaxed with PBE.

Largest 10 diffraction maxima, in order of rising 2θ, 15° ≤ 2θ ≤ 90°:
2theta	d_spacing	I/Imax
25.29	3.522	24.7
29.05	3.073	100.0
41.05	2.199	40.4
42.05	2.149	36.2
49.27	1.849	9.3
51.93	1.761	20.2
60.22	1.537	12.2
67.52	1.387	17.8
68.95	1.362	16.5
76.16	1.250	12.5

```
data_TbCoH6
_symmetry_space_group_name_H-M 'P 1'
_symmetry_Int_Tables_number 1
_cell_length_a 4.3999
_cell_length_b 4.3999
_cell_length_c 4.3999
_cell_angle_alpha 58.46
_cell_angle_beta 58.46
_cell_angle_gamma 58.46
loop_
_symmetry_equiv_pos_as_xyz
'x,y,z'
loop_
_atom_site_label
_atom_site_type_symbol
_atom_site_fract_x
_atom_site_fract_y
_atom_site_fract_z
Tb1 Tb 0.0000 0.0000 0.0000
Co1 Co 0.5000 0.5000 0.5000
H1 H 0.0811 0.5960 0.5960
H2 H 0.4040 0.4040 0.9189
H3 H 0.4040 0.9189 0.4040
H4 H 0.5960 0.0811 0.5960
H5 H 0.5960 0.5960 0.0811
H6 H 0.9189 0.4040 0.4040
```


Record 4
Calculated PXRD pattern of CdBP for Cu Kα (λ = 1.5418 Å), from a crystal structure in Alexandria, relaxed with PBE.

Largest 10 diffraction maxima, in order of rising 2θ, 15° ≤ 2θ ≤ 90°:
2theta	d_spacing	I/Imax
32.22	2.778	51.8
33.99	2.638	100.0
34.22	2.620	29.2
35.22	2.548	17.4
37.79	2.381	15.9
39.33	2.291	16.2
39.62	2.275	31.6
45.38	1.998	19.0
57.21	1.610	28.7
68.20	1.375	18.3

```
data_CdBP
_symmetry_space_group_name_H-M 'P 1'
_symmetry_Int_Tables_number 1
_cell_length_a 5.5747
_cell_length_b 3.2227
_cell_length_c 10.7025
_cell_angle_alpha 90.00
_cell_angle_beta 99.37
_cell_angle_gamma 90.00
loop_
_symmetry_equiv_pos_as_xyz
'x,y,z'
loop_
_atom_site_label
_atom_site_type_symbol
_atom_site_fract_x
_atom_site_fract_y
_atom_site_fract_z
Cd1 Cd 0.0000 0.0000 0.0000
Cd2 Cd 0.2446 0.5000 0.2301
Cd3 Cd 0.5000 0.5000 0.0000
Cd4 Cd 0.7446 0.0000 0.2301
B1 B 0.1770 0.0000 0.5331
B2 B 0.4214 0.5000 0.7795
B3 B 0.6770 0.5000 0.5331
B4 B 0.9214 0.0000 0.7795
P1 P 0.2382 0.0000 0.7271
P2 P 0.3257 0.5000 0.4754
P3 P 0.7382 0.5000 0.7271
P4 P 0.8257 0.0000 0.4754
```


Record 5
Calculated PXRD pattern of Hg3Bi2Pb3 for Cu Kα (λ = 1.5418 Å), from a crystal structure in Alexandria, relaxed with PBE.

Largest 10 diffraction maxima, in order of rising 2θ, 15° ≤ 2θ ≤ 90°:
2theta	d_spacing	I/Imax
31.71	2.822	100.0
34.87	2.573	19.7
35.06	2.560	18.8
40.19	2.244	13.5
50.28	1.815	13.8
54.24	1.691	11.4
60.56	1.529	16.4
60.80	1.523	15.2
66.24	1.411	12.3
67.75	1.383	11.8

```
data_Hg3Bi2Pb3
_symmetry_space_group_name_H-M 'P 1'
_symmetry_Int_Tables_number 1
_cell_length_a 4.4879
_cell_length_b 5.1453
_cell_length_c 20.4767
_cell_angle_alpha 90.00
_cell_angle_beta 90.00
_cell_angle_gamma 90.00
loop_
_symmetry_equiv_pos_as_xyz
'x,y,z'
loop_
_atom_site_label
_atom_site_type_symbol
_atom_site_fract_x
_atom_site_fract_y
_atom_site_fract_z
Hg1 Hg 0.0000 0.0000 0.0000
Hg2 Hg 0.0000 0.5000 0.1191
Hg3 Hg 0.0000 0.5000 0.8809
Hg4 Hg 0.5000 0.0000 0.3809
Hg5 Hg 0.5000 0.0000 0.6191
Hg6 Hg 0.5000 0.5000 0.5000
Bi1 Bi 0.0000 0.0000 0.2532
Bi2 Bi 0.0000 0.0000 0.7468
Bi3 Bi 0.5000 0.5000 0.2468
Bi4 Bi 0.5000 0.5000 0.7532
Pb1 Pb 0.0000 0.0000 0.5000
Pb2 Pb 0.0000 0.5000 0.3723
Pb3 Pb 0.0000 0.5000 0.6277
Pb4 Pb 0.5000 0.0000 0.1277
Pb5 Pb 0.5000 0.0000 0.8723
Pb6 Pb 0.5000 0.5000 0.0000
```